1.
Computed X-ray powder pattern of In3GaSn for Cu Kα, from a crystal structure in Alexandria, relaxed with GGA-PBE.
No peak broadening, texture or thermal motion is included.

Structural model:
a b c (Å): 5.0998 5.0998 11.8177
angles (deg): 90.00 90.00 120.00
Space group P6_3mc (No. 186)
One atom of each set of equivalent atoms:
In (0.0000, 0.0000, 0.0000) [2 per cell]
In (0.3333, 0.6667, 0.1088) [2 per cell]
In (0.3333, 0.6667, 0.7701) [2 per cell]
Ga (0.0000, 0.0000, 0.2476) [2 per cell]
Sn (0.3333, 0.6667, 0.3977) [2 per cell]

Principal peaks in the range 10° ≤ 2θ ≤ 90°, low angle first:
25.17 deg, 3.538 Å, I = 9; 30.41 deg, 2.940 Å, I = 81; 35.20 deg, 2.550 Å, I = 100; 36.59 deg, 2.456 Å, I = 36; 47.18 deg, 1.926 Å, I = 24; 51.68 deg, 1.769 Å, I = 13; 60.21 deg, 1.537 Å, I = 23; 63.16 deg, 1.472 Å, I = 18; 64.07 deg, 1.453 Å, I = 14; 74.19 deg, 1.278 Å, I = 12; 74.41 deg, 1.275 Å, I = 11; 82.46 deg, 1.170 Å, I = 10


2.
Computed X-ray powder pattern of Tb3Ce3ErTe8 for Cu Kα, from a crystal structure in Alexandria, relaxed with GGA-PBE.
No peak broadening, texture or thermal motion is included.

Structural model:
a b c (Å): 8.7929 8.7929 21.8392
angles (deg): 90.00 90.00 120.00
Space group R-3m (No. 166, hexagonal axes)
One atom of each set of equivalent atoms:
Tb (0.0000, 0.5000, 0.0000) [9 per cell]
Ce (0.0000, 0.5000, 0.5000) [9 per cell]
Er (0.0000, 0.0000, 0.0000) [3 per cell]
Te (0.0000, 0.0000, 0.2531) [6 per cell]
Te (0.0045, 0.5023, 0.2522) [18 per cell]

Principal peaks in the range 10° ≤ 2θ ≤ 90°, low angle first:
28.58 deg, 3.123 Å, I = 100; 40.67 deg, 2.219 Å, I = 38; 41.06 deg, 2.198 Å, I = 38; 50.12 deg, 1.820 Å, I = 7; 50.79 deg, 1.798 Å, I = 20; 59.17 deg, 1.562 Å, I = 13; 66.72 deg, 1.402 Å, I = 17; 67.28 deg, 1.392 Å, I = 17; 73.74 deg, 1.285 Å, I = 6; 74.54 deg, 1.273 Å, I = 13; 74.81 deg, 1.269 Å, I = 6; 89.08 deg, 1.099 Å, I = 4